Simulated powder diffraction line list of In3ClF2 for Cu Kα (weighted mean of Kα1 and Kα2), from the PBE geometry in Alexandria.

Main lines, in order of rising 2θ (2θ from 10° to 90°):
- 2θ 25.20, rel. 100
- 2θ 26.89, rel. 36
- 2θ 28.70, rel. 45
- 2θ 29.21, rel. 21
- 2θ 31.06, rel. 44
- 2θ 36.50, rel. 18
- 2θ 41.07, rel. 30
- 2θ 44.98, rel. 17
- 2θ 50.76, rel. 19
- 2θ 50.87, rel. 17

Crystal structure
```
In3ClF2
1.0
6.848 0.000 0.000
0.000 4.396 0.000
-1.151 0.000 9.948
In Cl F
6 2 4
Direct
0.004 0.250 0.160 In
0.279 0.250 0.441 In
0.399 0.750 0.135 In
0.601 0.250 0.865 In
0.721 0.750 0.559 In
0.996 0.750 0.840 In
0.199 0.250 0.719 Cl
0.801 0.750 0.281 Cl
0.389 0.750 0.510 F
0.478 0.750 0.918 F
0.522 0.250 0.082 F
0.611 0.250 0.490 F
```

---

Simulated powder diffraction line list of Ac4Hg5Sb7 for Cu Kα (weighted mean of Kα1 and Kα2), from the PBE geometry in Alexandria.

Main lines, in order of rising 2θ (2θ from 10° to 90°):
- 2θ 20.32, rel. 7
- 2θ 31.51, rel. 100
- 2θ 35.31, rel. 16
- 2θ 37.15, rel. 34
- 2θ 52.19, rel. 21
- 2θ 53.54, rel. 12
- 2θ 61.02, rel. 10
- 2θ 63.46, rel. 27
- 2θ 65.78, rel. 10
- 2θ 85.48, rel. 8

Crystal structure
```
Ac4Hg5Sb7
1.0
-3.423 3.423 10.167
3.423 -3.423 10.167
3.423 3.423 -10.167
Ac Hg Sb
4 5 7
Direct
0.125 0.636 0.000 Ac
0.364 0.364 0.489 Ac
0.636 0.125 0.000 Ac
0.875 0.875 0.511 Ac
0.248 0.248 0.000 Hg
0.250 0.750 0.500 Hg
0.500 0.500 0.000 Hg
0.750 0.250 0.500 Hg
0.752 0.752 0.000 Hg
0.000 0.000 0.000 Sb
0.000 0.500 0.500 Sb
0.110 0.110 0.516 Sb
0.405 0.890 0.000 Sb
0.500 0.000 0.500 Sb
0.595 0.595 0.484 Sb
0.890 0.405 0.000 Sb
```

---

Simulated powder diffraction line list of Pm4YSb5 for Cu Kα (weighted mean of Kα1 and Kα2), from the PBE geometry in Alexandria.

Main lines, in order of rising 2θ (2θ from 10° to 90°):
- 2θ 20.04, rel. 1
- 2θ 24.37, rel. 1
- 2θ 28.21, rel. 100
- 2θ 40.32, rel. 76
- 2θ 49.94, rel. 27
- 2θ 58.34, rel. 13
- 2θ 66.03, rel. 23
- 2θ 66.07, rel. 12
- 2θ 73.30, rel. 26
- 2θ 87.15, rel. 8

Crystal structure
```
Pm4YSb5
1.0
-2.237 2.237 15.808
2.237 -2.237 15.808
2.237 2.237 -15.808
Pm Y Sb
4 1 5
Direct
0.100 0.100 0.000 Pm
0.301 0.301 0.000 Pm
0.699 0.699 0.000 Pm
0.900 0.900 0.000 Pm
0.500 0.500 0.000 Y
0.000 0.000 0.000 Sb
0.200 0.200 0.000 Sb
0.401 0.401 0.000 Sb
0.599 0.599 0.000 Sb
0.800 0.800 0.000 Sb
```

---

Simulated powder diffraction line list of Dy2YTm2Mg2 for Cu Kα (weighted mean of Kα1 and Kα2), from the PBE geometry in Alexandria.

Main lines, in order of rising 2θ (2θ from 10° to 90°):
- 2θ 11.12, rel. 45
- 2θ 26.67, rel. 25
- 2θ 32.48, rel. 94
- 2θ 33.14, rel. 100
- 2θ 35.06, rel. 19
- 2θ 47.08, rel. 33
- 2θ 57.52, rel. 27
- 2θ 58.78, rel. 34
- 2θ 59.20, rel. 19
- 2θ 78.88, rel. 19

Crystal structure
```
Dy2YTm2Mg2
1.0
2.703 1.561 7.957
-2.703 1.561 7.957
0.000 -3.122 7.957
Dy Y Tm Mg
2 1 2 2
Direct
0.073 0.073 0.073 Dy
0.927 0.927 0.927 Dy
0.500 0.500 0.500 Y
0.345 0.345 0.345 Tm
0.655 0.655 0.655 Tm
0.211 0.211 0.211 Mg
0.789 0.789 0.789 Mg
```